Diffraction record for Sr4Ti3VO12. The powder diffraction line list is simulated, not measured: it uses the GGA+U geometry in Alexandria and Cu Kα (λ = 1.5418 Å).
Kinematic intensities with the Lorentz-polarization factor, no thermal factor.

Cell and atoms:
```
Sr4Ti3VO12
1.0
-3.933 3.933 3.933
3.933 -3.933 3.933
3.933 3.933 -3.933
Sr Ti V O
4 3 1 12
Direct
0.000 0.000 0.500
0.000 0.500 0.000
0.500 0.000 0.000
0.500 0.500 0.500
0.000 0.500 0.500
0.500 0.000 0.500
0.500 0.500 0.000
0.000 0.000 0.000
0.000 0.248 0.248
0.000 0.752 0.752
0.248 0.000 0.248
0.248 0.248 0.000
0.250 0.500 0.750
0.250 0.750 0.500
0.500 0.250 0.750
0.500 0.750 0.250
0.750 0.250 0.500
0.750 0.500 0.250
0.752 0.000 0.752
0.752 0.752 0.000
```

Principal peaks in the range 5 to 70 degrees two-theta, sorted by position:
22.61 deg, intensity 4
32.19 deg, intensity 100
39.70 deg, intensity 21
46.16 deg, intensity 41
51.99 deg, intensity 3
57.39 deg, intensity 38
67.34 deg, intensity 23